(1)
Diffraction record for SmAsN2O. The PXRD pattern is calculated, not measured: it uses a crystal structure in OQMD, relaxed with PBE and Cu Kα (weighted mean of Kα1 and Kα2).
Intensities are scaled so that the largest is 100.

Most intense lines, 5° ≤ 2θ ≤ 70°, by angle:
two_theta	intensity
32.76	100
32.93	24
33.60	24
46.25	14
47.76	26
58.69	21
59.55	18
68.67	15

Structural model:
Unit cell a=5.4703 b=5.4703 c=5.4703 alpha=88.28 beta=120.36 gamma=121.64
Fractional coordinates of all 10 atoms:
Sm: 0.0111 0.2500 0.2611
Sm: 0.9889 0.7500 0.7389
As: 0.5009 0.0009 0.5000
As: 0.5009 0.5009 0.0000
N: 0.0015 0.2057 0.7066
N: 0.0015 0.7950 0.2959
N: 0.4991 0.2950 0.2934
N: 0.4991 0.7057 0.7041
O: 0.4265 0.7537 0.1729
O: 0.5808 0.2537 0.8271


(2)
Diffraction record for Sm3Cd3GaAu2. The PXRD pattern is calculated, not measured: it uses a crystal structure in OQMD, relaxed with PBE and Cu Kα (weighted mean of Kα1 and Kα2).
Intensities are scaled so that the largest is 100.

Most intense lines, 5° ≤ 2θ ≤ 70°, by angle:
two_theta	intensity
32.07	100
34.59	44
34.70	74
39.40	44
41.73	25
46.17	21
62.28	23
63.68	28

Structural model:
Unit cell a=7.9220 b=7.9220 c=3.9320 alpha=90.00 beta=90.00 gamma=120.00
Fractional coordinates of all 9 atoms:
Sm: 0.0000 0.4047 0.0000
Sm: 0.4047 0.0000 0.0000
Sm: 0.5953 0.5953 0.0000
Cd: 0.0000 0.7416 0.5000
Cd: 0.2584 0.2584 0.5000
Cd: 0.7416 0.0000 0.5000
Ga: 0.0000 0.0000 0.0000
Au: 0.3333 0.6667 0.5000
Au: 0.6667 0.3333 0.5000


(3)
Diffraction record for Ho3HfTe2C2. The PXRD pattern is calculated, not measured: it uses a crystal structure in OQMD, relaxed with PBE and Cu Kα (weighted mean of Kα1 and Kα2).
Intensities are scaled so that the largest is 100.

Most intense lines, 5° ≤ 2θ ≤ 70°, by angle:
two_theta	intensity
27.76	26
33.98	100
38.99	13
48.53	12
49.09	25
61.05	19
64.40	19
67.44	11

Structural model:
Unit cell a=3.7114 b=3.7114 c=13.8595 alpha=90.00 beta=90.00 gamma=120.00
Fractional coordinates of all 8 atoms:
Ho: 0.0000 0.0000 0.0000
Ho: 0.0000 0.0000 0.3200
Ho: 0.3333 0.6667 0.5084
Hf: 0.3333 0.6667 0.8217
Te: 0.0000 0.0000 0.6752
Te: 0.3333 0.6667 0.1584
C: 0.6667 0.3333 0.4163
C: 0.6667 0.3333 0.8972


(4)
Diffraction record for AgSbSO2F6. The PXRD pattern is calculated, not measured: it uses a crystal structure in OQMD, relaxed with PBE and Cu Kα (weighted mean of Kα1 and Kα2).
Intensities are scaled so that the largest is 100.

Most intense lines, 5° ≤ 2θ ≤ 70°, by angle:
two_theta	intensity
14.65	39
20.20	35
23.00	66
24.54	100
27.37	41
27.50	42
30.07	42
30.43	45

Structural model:
Unit cell a=7.2550 b=7.7350 c=12.8134 alpha=90.00 beta=123.52 gamma=90.00
Fractional coordinates of all 44 atoms:
Ag: 0.2079 0.2356 0.4684
Ag: 0.2079 0.2644 0.9684
Ag: 0.7921 0.7356 0.0316
Ag: 0.7921 0.7644 0.5316
Sb: 0.1306 0.7365 0.3749
Sb: 0.1306 0.7635 0.8749
Sb: 0.8694 0.2365 0.1251
Sb: 0.8694 0.2635 0.6251
S: 0.4976 0.0730 0.7725
S: 0.4976 0.4270 0.2725
S: 0.5024 0.5730 0.7275
S: 0.5024 0.9270 0.2275
O: 0.3601 0.0318 0.6400
O: 0.3601 0.4682 0.1400
O: 0.4173 0.0771 0.1463
O: 0.4173 0.4229 0.6463
O: 0.5827 0.5771 0.3537
O: 0.5827 0.9229 0.8537
O: 0.6399 0.5318 0.8600
O: 0.6399 0.9682 0.3600
F: 0.0323 0.5353 0.8782
F: 0.0323 0.9647 0.3782
F: 0.0837 0.6697 0.5023
F: 0.0837 0.8303 0.0023
F: 0.1693 0.1767 0.2512
F: 0.1693 0.3233 0.7512
F: 0.1746 0.7002 0.7451
F: 0.1746 0.7998 0.2451
F: 0.2291 0.5060 0.3759
F: 0.2291 0.9940 0.8759
F: 0.4279 0.6988 0.9997
F: 0.4279 0.8012 0.4997
F: 0.5721 0.1988 0.5003
F: 0.5721 0.3012 0.0003
F: 0.7709 0.0060 0.1241
F: 0.7709 0.4940 0.6241
F: 0.8254 0.2002 0.7549
F: 0.8254 0.2998 0.2549
F: 0.8307 0.6767 0.2488
F: 0.8307 0.8233 0.7488
F: 0.9163 0.1697 0.9977
F: 0.9163 0.3303 0.4977
F: 0.9677 0.0353 0.6218
F: 0.9677 0.4647 0.1218


(5)
Diffraction record for DyInGa4Ir. The PXRD pattern is calculated, not measured: it uses a crystal structure in OQMD, relaxed with PBE and Cu Kα (weighted mean of Kα1 and Kα2).
Intensities are scaled so that the largest is 100.

Most intense lines, 5° ≤ 2θ ≤ 70°, by angle:
two_theta	intensity
20.00	30
23.85	16
31.32	14
32.93	18
38.83	100
40.64	54
53.25	15
58.83	18

Structural model:
Unit cell a=4.4395 b=4.4395 c=6.8832 alpha=90.00 beta=90.00 gamma=90.00
Fractional coordinates of all 7 atoms:
Dy: 0.0000 0.0000 0.0000
In: 0.5000 0.5000 0.0000
Ga: 0.0000 0.5000 0.3067
Ga: 0.0000 0.5000 0.6933
Ga: 0.5000 0.0000 0.3067
Ga: 0.5000 0.0000 0.6933
Ir: 0.0000 0.0000 0.5000


(6)
Diffraction record for CuAg. The PXRD pattern is calculated, not measured: it uses a crystal structure in OQMD, relaxed with PBE and Cu Kα (weighted mean of Kα1 and Kα2).
Intensities are scaled so that the largest is 100.

Most intense lines, 5° ≤ 2θ ≤ 70°, by angle:
two_theta	intensity
32.47	13
37.71	27
39.32	21
40.66	100
41.72	44
41.78	86
41.87	42
63.23	13

Structural model:
Unit cell a=4.5825 b=5.8828 c=26.7570 alpha=86.82 beta=85.33 gamma=89.89
Fractional coordinates of all 48 atoms:
Cu: 0.0000 0.0000 0.0000
Cu: 0.0064 0.1415 0.2497
Cu: 0.0175 0.8714 0.4999
Cu: 0.0896 0.1830 0.0833
Cu: 0.1535 0.0760 0.6672
Cu: 0.1726 0.2250 0.9170
Cu: 0.1787 0.9578 0.1666
Cu: 0.2524 0.2695 0.7494
Cu: 0.3344 0.1187 0.3329
Cu: 0.3374 0.8479 0.5832
Cu: 0.3434 0.0433 0.8337
Cu: 0.4253 0.8926 0.4163
Cu: 0.5001 0.2025 0.0000
Cu: 0.5062 0.9356 0.2497
Cu: 0.5188 0.0738 0.4995
Cu: 0.5894 0.9773 0.0833
Cu: 0.6650 0.2921 0.6668
Cu: 0.6726 0.0194 0.9169
Cu: 0.6789 0.1603 0.1666
Cu: 0.7524 0.0634 0.7500
Cu: 0.8343 0.9165 0.3329
Cu: 0.8436 0.2448 0.8334
Cu: 0.8508 0.0646 0.5826
Cu: 0.9258 0.0980 0.4162
Ag: 0.0062 0.6861 0.2497
Ag: 0.0231 0.4567 0.0001
Ag: 0.0894 0.7279 0.0833
Ag: 0.1562 0.4139 0.1664
Ag: 0.1728 0.7696 0.9167
Ag: 0.1770 0.5494 0.6670
Ag: 0.2517 0.8135 0.7514
Ag: 0.3209 0.4974 0.8336
Ag: 0.3570 0.6628 0.3330
Ag: 0.3576 0.3037 0.5824
Ag: 0.4263 0.3480 0.4160
Ag: 0.4957 0.6187 0.4995
Ag: 0.5063 0.3909 0.2498
Ag: 0.5228 0.7464 0.0001
Ag: 0.5896 0.4325 0.0832
Ag: 0.6559 0.7037 0.1664
Ag: 0.6650 0.8346 0.6668
Ag: 0.6728 0.4743 0.9168
Ag: 0.7517 0.5196 0.7502
Ag: 0.8194 0.7885 0.8338
Ag: 0.8477 0.5912 0.5825
Ag: 0.8576 0.3729 0.3329
Ag: 0.9255 0.6435 0.4162
Ag: 0.9977 0.3279 0.4990


(7)
Diffraction record for ErCoOs. The PXRD pattern is calculated, not measured: it uses a crystal structure in OQMD, relaxed with PBE and Cu Kα (weighted mean of Kα1 and Kα2).
Intensities are scaled so that the largest is 100.

Most intense lines, 5° ≤ 2θ ≤ 70°, by angle:
two_theta	intensity
34.58	86
40.48	55
40.89	37
41.36	100
42.54	30
43.15	31
61.99	24
66.56	25

Structural model:
Unit cell a=5.0884 b=5.1916 c=7.4007 alpha=90.00 beta=90.00 gamma=90.00
Fractional coordinates of all 12 atoms:
Er: 0.0000 0.2500 0.1230
Er: 0.0000 0.7500 0.8770
Er: 0.5000 0.2500 0.3770
Er: 0.5000 0.7500 0.6230
Co: 0.0000 0.0000 0.5000
Co: 0.0000 0.5000 0.5000
Co: 0.5000 0.0000 0.0000
Co: 0.5000 0.5000 0.0000
Os: 0.2500 0.2500 0.7500
Os: 0.2500 0.7500 0.2500
Os: 0.7500 0.2500 0.7500
Os: 0.7500 0.7500 0.2500


(8)
Diffraction record for ErAgTe2PbSe. The PXRD pattern is calculated, not measured: it uses a crystal structure in OQMD, relaxed with PBE and Cu Kα (weighted mean of Kα1 and Kα2).
Intensities are scaled so that the largest is 100.

Most intense lines, 5° ≤ 2θ ≤ 70°, by angle:
two_theta	intensity
27.64	39
28.92	94
32.47	100
33.39	46
33.75	48
40.50	44
40.89	33
42.19	42

Structural model:
Unit cell a=7.6649 b=7.6649 c=10.6216 alpha=90.00 beta=90.00 gamma=147.55
Fractional coordinates of all 12 atoms:
Er: 0.0000 0.0000 0.0000
Er: 0.0000 0.0000 0.5000
Ag: 0.4733 0.5267 0.7500
Ag: 0.5267 0.4733 0.2500
Te: 0.3520 0.6480 0.5497
Te: 0.3520 0.6480 0.9503
Te: 0.6480 0.3520 0.0497
Te: 0.6480 0.3520 0.4503
Pb: 0.2537 0.7463 0.2500
Pb: 0.7463 0.2537 0.7500
Se: 0.0822 0.9178 0.7500
Se: 0.9178 0.0822 0.2500